# NiPb2WO6
Theoretical X-ray powder pattern, copper Kα. Input: a crystal structure in the Materials Project, relaxed with PBE+U.
Kinematic intensities with the Lorentz-polarization factor, no thermal factor.

Peak list (8 most intense, 15 to 90 degrees two-theta, in order of rising 2θ)
Position (°2θ), intensity
19.05, 8.3
31.36, 100.0
38.66, 6.8
44.94, 27.2
55.82, 40.8
65.43, 17.1
74.35, 18.0
82.90, 5.9

Crystal structure
abc: 5.705 5.705 5.705
angles: 60.00 60.00 60.00
Sites, in units of the cell vectors:
Ni 0.000 0.000 0.000
Pb 0.250 0.250 0.250
Pb 0.750 0.750 0.750
W 0.500 0.500 0.500
O 0.258 0.258 0.742
O 0.258 0.742 0.258
O 0.258 0.742 0.742
O 0.742 0.258 0.258
O 0.742 0.258 0.742
O 0.742 0.742 0.258

***

# PrNiO3
Theoretical X-ray powder pattern, copper Kα. Input: a crystal structure in the Materials Project, relaxed with PBE+U.
Kinematic intensities with the Lorentz-polarization factor, no thermal factor.

Peak list (8 most intense, 15 to 90 degrees two-theta, in order of rising 2θ)
Position (°2θ), intensity
22.97, 14.5
32.69, 100.0
32.76, 18.0
40.34, 14.8
46.93, 32.8
58.31, 26.0
58.43, 19.1
78.02, 13.8

Crystal structure
abc: 5.467 7.745 5.485
angles: 90.00 90.00 90.00
Sites, in units of the cell vectors:
Pr 0.037 0.250 0.008
Pr 0.463 0.750 0.508
Pr 0.537 0.250 0.492
Pr 0.963 0.750 0.992
Ni 0.000 0.000 0.500
Ni 0.000 0.500 0.500
Ni 0.500 0.000 0.000
Ni 0.500 0.500 0.000
O 0.010 0.750 0.425
O 0.219 0.541 0.780
O 0.219 0.959 0.780
O 0.281 0.041 0.280
O 0.281 0.459 0.280
O 0.490 0.250 0.925
O 0.510 0.750 0.075
O 0.719 0.541 0.720
O 0.719 0.959 0.720
O 0.781 0.041 0.220
O 0.781 0.459 0.220
O 0.990 0.250 0.575

***

# PrNiO3
Theoretical X-ray powder pattern, copper Kα. Input: a crystal structure in the Materials Project, relaxed with PBE+U.
Kinematic intensities with the Lorentz-polarization factor, no thermal factor.

Peak list (8 most intense, 15 to 90 degrees two-theta, in order of rising 2θ)
Position (°2θ), intensity
23.04, 24.7
32.30, 100.0
33.32, 97.9
40.05, 20.5
47.09, 57.5
57.61, 24.0
58.26, 40.9
60.18, 17.8

Crystal structure
abc: 5.383 5.383 5.383
angles: 61.98 61.98 61.98
Sites, in units of the cell vectors:
Pr 0.250 0.250 0.250
Pr 0.750 0.750 0.750
Ni 0.000 0.000 0.000
Ni 0.500 0.500 0.500
O 0.182 0.750 0.318
O 0.250 0.682 0.818
O 0.318 0.182 0.750
O 0.682 0.818 0.250
O 0.750 0.318 0.182
O 0.818 0.250 0.682

***

# SrPrNiRuO6
Theoretical X-ray powder pattern, copper Kα. Input: a crystal structure in the Materials Project, relaxed with PBE+U.
Kinematic intensities with the Lorentz-polarization factor, no thermal factor.

Peak list (8 most intense, 15 to 90 degrees two-theta, in order of rising 2θ)
Position (°2θ), intensity
31.64, 22.6
31.96, 100.0
32.10, 24.9
45.69, 25.9
45.96, 15.0
56.56, 13.6
57.14, 33.3
66.81, 14.0

Crystal structure
abc: 5.578 5.656 9.664
angles: 90.00 125.18 90.00
Sites, in units of the cell vectors:
Sr 0.000 0.216 0.000
Sr 0.000 0.784 0.500
Pr 0.516 0.302 0.498
Pr 0.516 0.698 0.998
Ni 0.256 0.244 0.749
Ni 0.256 0.756 0.249
Ru 0.755 0.247 0.250
Ru 0.755 0.753 0.750
O 0.088 0.238 0.493
O 0.088 0.762 0.993
O 0.444 0.271 0.005
O 0.444 0.729 0.505
O 0.512 0.050 0.294
O 0.512 0.950 0.794
O 0.581 0.476 0.789
O 0.581 0.524 0.289
O 0.907 0.038 0.705
O 0.907 0.962 0.205
O 0.991 0.465 0.212
O 0.991 0.535 0.712

***

# Sr2PrNiO6
Theoretical X-ray powder pattern, copper Kα. Input: a crystal structure in the Materials Project, relaxed with PBE+U.
Kinematic intensities with the Lorentz-polarization factor, no thermal factor.

Peak list (8 most intense, 15 to 90 degrees two-theta, in order of rising 2θ)
Position (°2θ), intensity
30.49, 100.0
35.92, 6.8
43.66, 32.8
54.18, 38.6
63.45, 19.5
72.02, 18.0
80.19, 6.3
88.16, 21.3

Crystal structure
abc: 5.864 5.864 5.864
angles: 60.00 60.00 60.00
Sites, in units of the cell vectors:
Sr 0.250 0.250 0.250
Sr 0.750 0.750 0.750
Pr 0.000 0.000 0.000
Ni 0.500 0.500 0.500
O 0.276 0.276 0.724
O 0.276 0.724 0.276
O 0.276 0.724 0.724
O 0.724 0.276 0.276
O 0.724 0.276 0.724
O 0.724 0.724 0.276

***

# Sr2Pr2TlNi2O9
Theoretical X-ray powder pattern, copper Kα. Input: a crystal structure in the Materials Project, relaxed with PBE+U.
Kinematic intensities with the Lorentz-polarization factor, no thermal factor.

Peak list (8 most intense, 15 to 90 degrees two-theta, in order of rising 2θ)
Position (°2θ), intensity
24.90, 32.0
31.30, 100.0
32.94, 33.3
33.27, 34.3
42.05, 12.7
47.52, 31.3
57.80, 16.4
58.22, 17.8

Crystal structure
abc: 15.285 3.827 15.281
angles: 82.88 14.39 82.74
Sites, in units of the cell vectors:
Sr 0.084 0.916 0.084
Sr 0.916 0.084 0.916
Pr 0.196 0.791 0.209
Pr 0.791 0.196 0.804
Tl 0.537 0.537 0.463
Ni 0.348 0.640 0.360
Ni 0.640 0.348 0.652
O 0.143 0.346 0.154
O 0.274 0.712 0.288
O 0.346 0.143 0.358
O 0.422 0.562 0.438
O 0.562 0.422 0.578
O 0.642 0.846 0.654
O 0.712 0.274 0.726
O 0.846 0.642 0.857
O 0.967 0.967 0.033